(1)
The following is a simulated powder X-ray diffraction pattern of NaTi2O4. It was derived from a PBE-relaxed structure, using Cu Kα.

abc: 8.715 8.715 8.715
angles: 90.00 90.00 90.00
Space group Fd-3m (No. 227, origin choice 2)
Symmetry-distinct sites (fractional):
Na 0.125 0.125 0.125 x8
Ti 0.000 0.000 0.500 x16
O 0.019 0.019 0.731 x32

Peak list (8 most intense, 15° ≤ 2θ ≤ 90°, by angle)
two_theta, Rel. int., index
17.63, 944, 1 1 1
28.98, 170, 2 2 0
34.12, 1000, 3 1 1
41.44, 619, 4 0 0
54.73, 496, 5 1 1
60.05, 619, 4 4 0
63.11, 113, 5 3 1
85.60, 148, 5 5 3

(2)
The following is a simulated powder X-ray diffraction pattern of NaTiTlO3. It was derived from a PBE-relaxed structure, using Cu Kα.

```
data_NaTiTlO3
_chemical_formula_sum 'Na4 Ti4 Tl4 O12'
_space_group_name_H-M_alt 'C 1 2/c 1'
_space_group_IT_number 15
_space_group_name_Hall '-C 2yc'
_cell_length_a 5.928
_cell_length_b 11.257
_cell_length_c 5.539
_cell_angle_alpha 90.00
_cell_angle_beta 93.22
_cell_angle_gamma 90.00
loop_
_atom_site_label
_atom_site_fract_x
_atom_site_fract_y
_atom_site_fract_z
Na1 0.000 0.076 0.250
Ti1 0.000 0.448 0.250
Tl1 0.000 0.243 0.750
O1 0.000 0.288 0.250
O2 0.212 0.489 0.997
```

Peak list (8 most intense, 15° ≤ 2θ ≤ 90°, by angle)
two_theta, Rel. int., index
15.74, 673, 0 2 0
22.79, 942, 1 1 -1
23.97, 785, 1 1 1
30.20, 645, 2 0 0
32.13, 961, 1 3 -1
32.37, 523, 0 0 2
33.00, 1000, 1 3 1
34.23, 508, 2 2 0

(3)
The following is a simulated powder X-ray diffraction pattern of NaTmTi2O6. It was derived from a PBE-relaxed structure, using Cu Kα.

```
data_NaTmTi2O6
_chemical_formula_sum 'Na2 Tm2 Ti4 O12'
_space_group_name_H-M_alt 'P m n 21'
_space_group_IT_number 31
_space_group_name_Hall 'P 2ac -2'
_cell_length_a 7.587
_cell_length_b 5.531
_cell_length_c 5.303
_cell_angle_alpha 90.00
_cell_angle_beta 90.00
_cell_angle_gamma 90.00
loop_
_atom_site_label
_atom_site_fract_x
_atom_site_fract_y
_atom_site_fract_z
Na1 0.000 0.216 0.000
Tm1 0.000 0.674 0.523
Ti1 0.247 0.234 0.518
O1 0.000 0.278 0.423
O2 0.000 0.777 0.114
O3 0.194 0.941 0.689
O4 0.207 0.463 0.781
```

Peak list (8 most intense, 15° ≤ 2θ ≤ 90°, by angle)
two_theta, Rel. int., index
19.87, 507, 1 1 0
20.43, 685, 1 0 1
26.07, 219, 1 1 1
33.25, 1000, 2 1 1
33.81, 267, 0 0 2
39.50, 309, 3 0 1
47.51, 220, 0 2 2
60.12, 244, 2 1 3

(4)
The following is a simulated powder X-ray diffraction pattern of Na5Tl2O5. It was derived from a PBE-relaxed structure, using Cu Kα.

```
data_Na5Tl2O5
_chemical_formula_sum 'Na10 Tl4 O10'
_space_group_name_H-M_alt 'C 1 2/m 1'
_space_group_IT_number 12
_space_group_name_Hall '-C 2y'
_cell_length_a 11.195
_cell_length_b 3.414
_cell_length_c 10.147
_cell_angle_alpha 90.00
_cell_angle_beta 106.99
_cell_angle_gamma 90.00
loop_
_atom_site_label
_atom_site_fract_x
_atom_site_fract_y
_atom_site_fract_z
Na1 0.000 0.000 0.000
Na2 0.158 0.000 0.559
Na3 0.239 0.000 0.872
Tl1 0.036 0.500 0.287
O1 0.000 0.500 0.500
O2 0.108 0.500 0.911
O3 0.180 0.000 0.309
```

Peak list (8 most intense, 15° ≤ 2θ ≤ 90°, by angle)
two_theta, Rel. int., index
16.56, 1000, 2 0 0
18.28, 659, 0 0 2
20.81, 835, 2 0 -2
27.42, 804, 1 1 0
31.73, 572, 1 1 -2
36.41, 763, 2 0 3
37.41, 854, 3 1 -2
53.67, 389, 0 2 0

(5)
The following is a simulated powder X-ray diffraction pattern of Na2TlO. It was derived from a PBE-relaxed structure, using Cu Kα.

```
data_Na2TlO
_chemical_formula_sum 'Na4 Tl2 O2'
_space_group_name_H-M_alt 'P 1 21 1'
_space_group_IT_number 4
_space_group_name_Hall 'P 2yb'
_cell_length_a 6.299
_cell_length_b 3.613
_cell_length_c 8.037
_cell_angle_alpha 90.00
_cell_angle_beta 104.48
_cell_angle_gamma 90.00
loop_
_atom_site_label
_atom_site_fract_x
_atom_site_fract_y
_atom_site_fract_z
Na1 0.043 0.000 0.377
Na2 0.456 0.000 0.622
Tl1 0.250 0.998 0.001
O1 0.250 0.500 0.500
```

Peak list (8 most intense, 15° ≤ 2θ ≤ 90°, by angle)
two_theta, Rel. int., index
22.86, 739, 0 0 2
28.70, 1000, 1 1 0
29.56, 492, 1 1 -1
32.35, 744, 1 1 1
32.46, 372, 2 0 -2
34.16, 298, 2 0 1
34.57, 828, 1 1 -2
48.49, 279, 1 1 3

(6)
The following is a simulated powder X-ray diffraction pattern of Na3TlO. It was derived from a PBE-relaxed structure, using Cu Kα.

```
data_Na3TlO
_chemical_formula_sum 'Na12 Tl4 O4'
_space_group_name_H-M_alt 'I m m a'
_space_group_IT_number 74
_space_group_name_Hall '-I 2b 2'
_cell_length_a 4.461
_cell_length_b 4.702
_cell_length_c 22.415
_cell_angle_alpha 90.00
_cell_angle_beta 90.00
_cell_angle_gamma 90.00
loop_
_atom_site_label
_atom_site_fract_x
_atom_site_fract_y
_atom_site_fract_z
Na1 0.000 0.250 0.084
Na2 0.000 0.250 0.293
Na3 0.000 0.250 0.826
Tl1 0.000 0.250 0.543
O1 0.000 0.250 0.186
```

Peak list (8 most intense, 15° ≤ 2θ ≤ 90°, by angle)
two_theta, Rel. int., index
20.30, 647, 1 0 1
22.34, 409, 0 1 3
23.22, 489, 1 0 3
27.49, 348, 0 1 5
28.71, 245, 1 1 2
31.94, 1000, 1 1 4
33.87, 300, 0 1 7
36.74, 371, 1 1 6